(1)
Theoretical powder diffraction line list
Compound: Mg2Be
Radiation: Cu Ka
Structure: a GGA-PBE-relaxed structure

Unit cell a=3.037 b=15.133 c=4.534 alpha=90.00 beta=90.00 gamma=90.00
Sites, in units of the cell vectors:
Mg (0.000, 0.084, 0.250)
Mg (0.000, 0.209, 0.750)
Mg (0.000, 0.791, 0.250)
Mg (0.000, 0.916, 0.750)
Mg (0.500, 0.291, 0.250)
Mg (0.500, 0.416, 0.750)
Mg (0.500, 0.584, 0.250)
Mg (0.500, 0.709, 0.750)
Be (0.000, 0.446, 0.250)
Be (0.000, 0.554, 0.750)
Be (0.500, 0.054, 0.750)
Be (0.500, 0.946, 0.250)

Principal peaks in the range 2θ from 10° to 90°, by intensity:
two_theta, intensity
39.95, 100
30.78, 61
39.76, 34
30.01, 24
40.95, 20
51.91, 17

=====

(2)
Theoretical powder diffraction line list
Compound: CuGeSe4
Radiation: Cu Ka
Structure: a GGA-PBE-relaxed structure

Unit cell a=7.335 b=7.701 c=7.269 alpha=90.00 beta=111.94 gamma=90.00
Sites, in units of the cell vectors:
Cu (0.000, 0.020, 0.250)
Cu (0.000, 0.980, 0.750)
Ge (0.500, 0.209, 0.750)
Ge (0.500, 0.791, 0.250)
Se (0.228, 0.002, 0.589)
Se (0.228, 0.998, 0.089)
Se (0.412, 0.364, 0.994)
Se (0.412, 0.636, 0.494)
Se (0.588, 0.364, 0.506)
Se (0.588, 0.636, 0.006)
Se (0.772, 0.002, 0.911)
Se (0.772, 0.998, 0.411)

Principal peaks in the range 2θ from 10° to 90°, by intensity:
two_theta, intensity
17.41, 100
11.49, 84
13.01, 46
27.33, 41
26.60, 35
24.66, 31

=====

(3)
Theoretical powder diffraction line list
Compound: NdDySiGe
Radiation: Cu Ka
Structure: a GGA-PBE-relaxed structure

Unit cell a=3.957 b=4.386 c=10.837 alpha=90.00 beta=90.00 gamma=90.00
Sites, in units of the cell vectors:
Nd (0.000, 0.000, 0.000)
Nd (0.000, 0.500, 0.500)
Dy (0.500, 0.000, 0.278)
Dy (0.500, 0.500, 0.778)
Si (0.000, 0.000, 0.721)
Si (0.000, 0.500, 0.221)
Ge (0.500, 0.000, 0.564)
Ge (0.500, 0.500, 0.064)

Principal peaks in the range 2θ from 10° to 90°, by intensity:
two_theta, intensity
31.55, 100
32.10, 47
39.54, 44
27.92, 39
33.06, 29
41.16, 25

=====

(4)
Theoretical powder diffraction line list
Compound: Pm5Sm5Dy
Radiation: Cu Ka
Structure: a GGA-PBE-relaxed structure

Unit cell a=6.989 b=6.991 c=8.767 alpha=75.02 beta=75.24 gamma=69.77
Sites, in units of the cell vectors:
Pm (0.000, 0.000, 0.000)
Pm (0.146, 0.647, 0.362)
Pm (0.354, 0.270, 0.733)
Pm (0.646, 0.730, 0.267)
Pm (0.854, 0.353, 0.638)
Sm (0.223, 0.149, 0.271)
Sm (0.320, 0.814, 0.636)
Sm (0.500, 0.500, 0.000)
Sm (0.680, 0.186, 0.364)
Sm (0.777, 0.851, 0.729)
Dy (0.000, 0.500, 0.000)

Principal peaks in the range 2θ from 10° to 90°, by intensity:
two_theta, intensity
31.81, 100
31.57, 92
31.21, 75
32.25, 29
56.09, 23
30.85, 19

=====

(5)
Theoretical powder diffraction line list
Compound: Th4Te4Pt
Radiation: Cu Ka
Structure: a GGA-PBE-relaxed structure

Unit cell a=7.755 b=7.755 c=10.902 alpha=119.09 beta=119.09 gamma=32.41
Sites, in units of the cell vectors:
Th (0.085, 0.085, 0.409)
Th (0.311, 0.311, 0.217)
Th (0.689, 0.689, 0.783)
Th (0.915, 0.915, 0.591)
Te (0.103, 0.103, 0.913)
Te (0.311, 0.311, 0.705)
Te (0.689, 0.689, 0.295)
Te (0.897, 0.897, 0.087)
Pt (0.500, 0.500, 0.500)

Principal peaks in the range 2θ from 10° to 90°, by intensity:
two_theta, intensity
28.64, 100
41.06, 25
40.85, 24
12.13, 14
51.41, 13
41.73, 13

=====

(6)
Theoretical powder diffraction line list
Compound: Ce8Au2C3
Radiation: Cu Ka
Structure: a GGA-PBE-relaxed structure

Unit cell a=8.221 b=8.221 c=6.287 alpha=103.25 beta=103.25 gamma=50.58
Sites, in units of the cell vectors:
Ce (0.109, 0.109, 0.956)
Ce (0.154, 0.661, 0.612)
Ce (0.339, 0.846, 0.388)
Ce (0.398, 0.398, 0.107)
Ce (0.602, 0.602, 0.893)
Ce (0.661, 0.154, 0.612)
Ce (0.846, 0.339, 0.388)
Ce (0.891, 0.891, 0.044)
Au (0.248, 0.248, 0.673)
Au (0.752, 0.752, 0.327)
C (0.255, 0.745, 0.000)
C (0.500, 0.500, 0.500)
C (0.745, 0.255, 0.000)

Principal peaks in the range 2θ from 10° to 90°, by intensity:
two_theta, intensity
33.42, 100
36.19, 75
29.37, 56
34.82, 39
50.75, 37
37.52, 32

=====

(7)
Theoretical powder diffraction line list
Compound: TcH2Ru2
Radiation: Cu Ka
Structure: a GGA-PBE-relaxed structure

Unit cell a=2.785 b=3.937 c=8.494 alpha=90.00 beta=90.00 gamma=90.00
Sites, in units of the cell vectors:
Tc (0.250, 0.250, 0.077)
Tc (0.750, 0.750, 0.923)
H (0.250, 0.750, 0.414)
H (0.250, 0.750, 0.745)
H (0.750, 0.250, 0.255)
H (0.750, 0.250, 0.586)
Ru (0.250, 0.250, 0.414)
Ru (0.250, 0.250, 0.764)
Ru (0.750, 0.750, 0.236)
Ru (0.750, 0.750, 0.586)

Principal peaks in the range 2θ from 10° to 90°, by intensity:
two_theta, intensity
39.19, 100
39.64, 100
45.70, 66
66.94, 41
80.69, 35
46.11, 33

=====

(8)
Theoretical powder diffraction line list
Compound: Pr4U2Ru5
Radiation: Cu Ka
Structure: a GGA-PBE-relaxed structure

Unit cell a=10.764 b=10.764 c=10.764 alpha=131.38 beta=60.53 gamma=146.19
Sites, in units of the cell vectors:
Pr (0.053, 0.747, 0.800)
Pr (0.138, 0.119, 0.257)
Pr (0.362, 0.619, 0.981)
Pr (0.447, 0.247, 0.694)
Pr (0.553, 0.753, 0.306)
Pr (0.638, 0.381, 0.019)
Pr (0.862, 0.881, 0.743)
Pr (0.947, 0.253, 0.200)
U (0.052, 0.750, 0.302)
U (0.448, 0.750, 0.698)
U (0.552, 0.250, 0.302)
U (0.948, 0.250, 0.698)
Ru (0.094, 0.438, 0.532)
Ru (0.225, 0.838, 0.063)
Ru (0.250, 0.250, 0.000)
Ru (0.275, 0.338, 0.612)
Ru (0.406, 0.938, 0.344)
Ru (0.594, 0.062, 0.656)
Ru (0.725, 0.662, 0.388)
Ru (0.750, 0.750, 0.000)
Ru (0.775, 0.162, 0.937)
Ru (0.906, 0.562, 0.468)

Principal peaks in the range 2θ from 10° to 90°, by intensity:
two_theta, intensity
33.63, 100
33.82, 49
38.94, 44
34.95, 40
35.11, 36
35.29, 33

=====

(9)
Theoretical powder diffraction line list
Compound: Bi2Sb2PdPt7
Radiation: Cu Ka
Structure: a GGA-PBE-relaxed structure

Unit cell a=3.997 b=3.997 c=16.290 alpha=97.00 beta=97.00 gamma=89.99
Sites, in units of the cell vectors:
Bi (0.213, 0.213, 0.427)
Bi (0.787, 0.787, 0.573)
Sb (0.384, 0.384, 0.766)
Sb (0.616, 0.616, 0.234)
Pd (0.000, 0.000, 0.000)
Pt (0.062, 0.562, 0.127)
Pt (0.301, 0.301, 0.603)
Pt (0.438, 0.938, 0.873)
Pt (0.500, 0.500, 0.000)
Pt (0.562, 0.062, 0.127)
Pt (0.699, 0.699, 0.397)
Pt (0.938, 0.438, 0.873)

Principal peaks in the range 2θ from 10° to 90°, by intensity:
two_theta, intensity
42.63, 100
45.38, 74
32.16, 68
35.94, 46
11.03, 40
38.98, 37

=====

(10)
Theoretical powder diffraction line list
Compound: TaVCo
Radiation: Cu Ka
Structure: a GGA-PBE-relaxed structure

Unit cell a=4.823 b=4.991 c=6.912 alpha=90.00 beta=90.00 gamma=90.00
Sites, in units of the cell vectors:
Ta (0.000, 0.250, 0.123)
Ta (0.000, 0.750, 0.877)
Ta (0.500, 0.250, 0.377)
Ta (0.500, 0.750, 0.623)
V (0.250, 0.250, 0.750)
V (0.250, 0.750, 0.250)
V (0.750, 0.250, 0.750)
V (0.750, 0.750, 0.250)
Co (0.000, 0.000, 0.500)
Co (0.000, 0.500, 0.500)
Co (0.500, 0.000, 0.000)
Co (0.500, 0.500, 0.000)

Principal peaks in the range 2θ from 10° to 90°, by intensity:
two_theta, intensity
36.71, 100
42.85, 73
43.70, 58
43.53, 33
43.25, 32
21.97, 30

=====

(11)
Theoretical powder diffraction line list
Compound: Rb3Au2Br
Radiation: Cu Ka
Structure: a GGA-PBE-relaxed structure

Unit cell a=4.996 b=4.996 c=21.220 alpha=90.00 beta=90.00 gamma=90.00
Sites, in units of the cell vectors:
Rb (0.000, 0.000, 0.000)
Rb (0.000, 0.000, 0.335)
Rb (0.000, 0.000, 0.665)
Rb (0.500, 0.500, 0.165)
Rb (0.500, 0.500, 0.500)
Rb (0.500, 0.500, 0.835)
Au (0.000, 0.000, 0.168)
Au (0.000, 0.000, 0.832)
Au (0.500, 0.500, 0.332)
Au (0.500, 0.500, 0.668)
Br (0.000, 0.000, 0.500)
Br (0.500, 0.500, 0.000)

Principal peaks in the range 2θ from 10° to 90°, by intensity:
two_theta, intensity
25.20, 100
35.94, 80
58.39, 39
44.40, 29
64.60, 29
21.78, 16

=====

(12)
Theoretical powder diffraction line list
Compound: LiFeSi
Radiation: Cu Ka
Structure: a GGA-PBE-relaxed structure

Unit cell a=7.352 b=3.911 c=4.661 alpha=90.00 beta=99.90 gamma=90.00
Sites, in units of the cell vectors:
Li (0.000, 0.000, 0.000)
Li (0.000, 0.000, 0.500)
Li (0.500, 0.500, 0.000)
Li (0.500, 0.500, 0.500)
Fe (0.143, 0.500, 0.297)
Fe (0.357, 0.000, 0.703)
Fe (0.643, 0.000, 0.297)
Fe (0.857, 0.500, 0.703)
Si (0.185, 0.500, 0.803)
Si (0.315, 0.000, 0.197)
Si (0.685, 0.000, 0.803)
Si (0.815, 0.500, 0.197)

Principal peaks in the range 2θ from 10° to 90°, by intensity:
two_theta, intensity
25.89, 100
45.68, 97
44.08, 87
46.44, 44
39.24, 37
24.58, 24